The following is a theoretical powder X-ray diffraction pattern of La5Pb3C. It was derived from the PBE geometry in the Materials Project, using λ = 1.5418 Å (Cu Kα).

Cell and atoms:
```
La5Pb3C
1.0
9.723 0.000 0.000
-4.861 8.420 0.000
0.000 0.000 6.863
La Pb C
10 6 2
direct
0.000 0.210 0.250 La
0.000 0.790 0.750 La
0.210 0.000 0.250 La
0.210 0.210 0.750 La
0.333 0.667 0.000 La
0.333 0.667 0.500 La
0.667 0.333 0.000 La
0.667 0.333 0.500 La
0.790 0.000 0.750 La
0.790 0.790 0.250 La
0.000 0.405 0.750 Pb
0.000 0.595 0.250 Pb
0.405 0.000 0.750 Pb
0.405 0.405 0.250 Pb
0.595 0.000 0.250 Pb
0.595 0.595 0.750 Pb
0.000 0.000 0.000 C
0.000 0.000 0.500 C
```

Top 12 peaks for 15 to 90 degrees two-theta, by angle:
- 22.41°, rel. 15.8
- 25.96°, rel. 21.5
- 28.05°, rel. 32.3
- 30.97°, rel. 100.0
- 31.91°, rel. 70.5
- 33.69°, rel. 17.4
- 38.56°, rel. 14.4
- 39.32°, rel. 19.1
- 40.82°, rel. 13.9
- 49.04°, rel. 28.4
- 54.50°, rel. 20.9
- 61.33°, rel. 34.3

The following is a theoretical powder X-ray diffraction pattern of Li4Ti7O16. It was derived from the PBE geometry in the Materials Project, using λ = 1.5418 Å (Cu Kα).

Cell and atoms:
```
Li4Ti7O16
1.0
5.041 -2.968 0.000
5.041 2.968 0.000
-0.005 0.000 9.701
Li Ti O
4 7 16
direct
0.000 0.000 0.000 Li
0.005 0.499 0.418 Li
0.018 0.018 0.317 Li
0.499 0.005 0.418 Li
0.008 0.521 0.104 Ti
0.285 0.800 0.594 Ti
0.314 0.314 0.828 Ti
0.516 0.516 0.319 Ti
0.521 0.008 0.104 Ti
0.778 0.778 0.816 Ti
0.800 0.285 0.594 Ti
0.128 0.641 0.922 O
0.142 0.142 0.506 O
0.188 0.188 0.997 O
0.202 0.674 0.431 O
0.373 0.373 0.188 O
0.407 0.871 0.243 O
0.444 0.954 0.735 O
0.453 0.453 0.690 O
0.641 0.128 0.922 O
0.642 0.642 0.497 O
0.674 0.202 0.431 O
0.680 0.680 0.992 O
0.871 0.407 0.243 O
0.877 0.877 0.166 O
0.944 0.944 0.682 O
0.954 0.444 0.735 O
```

Top 12 peaks for 15 to 90 degrees two-theta, by angle:
- 19.85°, rel. 100.0
- 32.91°, rel. 34.9
- 35.46°, rel. 16.0
- 36.32°, rel. 24.0
- 39.85°, rel. 24.1
- 45.20°, rel. 12.4
- 51.14°, rel. 28.3
- 52.35°, rel. 15.4
- 59.83°, rel. 15.4
- 62.59°, rel. 8.8
- 64.44°, rel. 10.3
- 65.77°, rel. 11.7

The following is a theoretical powder X-ray diffraction pattern of LiAgF4. It was derived from the PBE geometry in the Materials Project, using λ = 1.5418 Å (Cu Kα).

Cell and atoms:
```
LiAgF4
1.0
5.762 -2.893 0.000
5.762 2.893 0.000
-1.748 0.000 5.280
Li Ag F
2 2 8
direct
0.104 0.896 0.750 Li
0.896 0.104 0.250 Li
0.000 0.500 0.000 Ag
0.500 0.000 0.500 Ag
0.028 0.183 0.031 F
0.183 0.028 0.531 F
0.267 0.437 0.297 F
0.437 0.267 0.797 F
0.563 0.733 0.203 F
0.733 0.563 0.703 F
0.817 0.972 0.469 F
0.972 0.817 0.969 F
```

Top 12 peaks for 15 to 90 degrees two-theta, by angle:
- 16.20°, rel. 79.1
- 22.35°, rel. 100.0
- 25.97°, rel. 56.5
- 29.39°, rel. 44.4
- 33.96°, rel. 13.5
- 35.09°, rel. 25.7
- 42.43°, rel. 25.3
- 45.63°, rel. 36.7
- 51.16°, rel. 12.5
- 52.46°, rel. 16.9
- 58.26°, rel. 10.9
- 59.36°, rel. 12.0